This entry pairs a crystal structure of Pm2Y3Hg4 with its calculated powder diffraction line list. Radiation: a wavelength of 1.5418 Å. Structure: a structure optimized by DFT (GGA-PBE).
Neutral-atom scattering factors, no anomalous dispersion.

Largest 12 diffraction maxima, sorted by position, 5° ≤ 2θ ≤ 70°:
| 2θ (°) | d_spacing | intensity | (hkl) |
| --- | --- | --- | --- |
| 22.34 | 3.980 | 23.4 | 1 3 1 |
| 22.60 | 3.934 | 18.0 | 0 4 1 |
| 29.38 | 3.040 | 70.4 | 2 2 1 |
| 30.00 | 2.979 | 57.7 | 1 5 1 |
| 32.32 | 2.770 | 16.6 | 2 4 0 |
| 33.65 | 2.663 | 100.0 | 2 0 2 |
| 34.19 | 2.623 | 20.8 | 2 4 1 |
| 34.50 | 2.600 | 40.5 | 0 2 3 |
| 37.27 | 2.413 | 37.5 | 0 6 2 |
| 39.51 | 2.281 | 23.6 | 2 6 0 |
| 51.97 | 1.760 | 19.7 | 4 0 0 |
| 60.99 | 1.519 | 30.1 | 2 6 4 |

Crystal structure
Cell: 7.038 17.969 8.147 Å, 90.00 90.00 90.00°
Space group Cmce (No. 64)
One atom of each set of equivalent atoms:
Pm1 0.000 0.095 0.087 (multiplicity 8)
Y1 0.000 0.000 0.500 (multiplicity 4)
Y2 0.250 0.239 0.750 (multiplicity 8)
Hg1 0.000 0.168 0.470 (multiplicity 8)
Hg2 0.250 0.066 0.750 (multiplicity 8)